1.
Computed XRD peak list of TaNb2Ge6 for Cu Kα X-rays, from a structure optimized by DFT (PBE).

Structural model:
Cell: 5.006 5.006 6.830 Å, 90.00 90.00 119.99°
Fractional positions:
Ta 0.000 0.000 0.000
Nb 0.000 0.500 0.668
Nb 0.500 0.000 0.332
Ge 0.171 0.336 0.334
Ge 0.336 0.171 0.666
Ge 0.336 0.664 0.000
Ge 0.664 0.336 0.000
Ge 0.664 0.829 0.666
Ge 0.829 0.664 0.334

Main lines, in order of rising 2θ (2θ from 15° to 90°):
2θ = 24.32°, intensity 14; 2θ = 35.87°, intensity 16; 2θ = 38.29°, intensity 100; 2θ = 39.58°, intensity 34; 2θ = 44.90°, intensity 65; 2θ = 66.08°, intensity 20; 2θ = 66.26°, intensity 19; 2θ = 70.79°, intensity 17; 2θ = 76.04°, intensity 14; 2θ = 89.31°, intensity 20



2.
Computed XRD peak list of Li2YIn4 for Cu Kα X-rays, from a structure optimized by DFT (PBE).

Structural model:
Cell: 7.102 7.102 7.102 Å, 131.57 131.57 70.91°
Fractional positions:
Li 0.132 0.132 0.000
Li 0.868 0.868 0.000
Y 0.500 0.500 0.000
In 0.000 0.500 0.500
In 0.250 0.750 0.500
In 0.500 0.000 0.500
In 0.750 0.250 0.500

Main lines, in order of rising 2θ (2θ from 15° to 90°):
2θ = 21.57°, intensity 99; 2θ = 30.69°, intensity 100; 2θ = 30.91°, intensity 46; 2θ = 38.01°, intensity 52; 2θ = 43.96°, intensity 37; 2θ = 44.12°, intensity 67; 2θ = 49.47°, intensity 21; 2θ = 54.70°, intensity 35; 2θ = 59.49°, intensity 27; 2θ = 80.94°, intensity 22